Starting from a cell relaxed with GGA-PBE, the powder X-ray diffraction pattern of TiCrCuS4 was calculated for Cu Ka.
Kinematic intensities with the Lorentz-polarization factor, no thermal factor.

Atomic structure:
```
TiCrCuS4
1.0
5.865 0.000 0.000
0.000 6.864 0.000
-0.218 0.000 5.904
Ti Cr Cu S
2 2 2 8
direct
0.000 0.000 0.000
0.000 0.266 0.500
0.000 0.502 0.000
0.000 0.763 0.500
0.500 0.006 0.000
0.500 0.510 0.000
0.232 0.514 0.677
0.238 0.009 0.673
0.240 0.754 0.177
0.246 0.260 0.173
0.754 0.260 0.827
0.760 0.754 0.823
0.762 0.009 0.327
0.768 0.514 0.323
```

Top 10 peaks for 2θ from 15° to 90°, low angle first:
- 2θ = 15.0°, I = 63
- 2θ = 30.1°, I = 82
- 2θ = 33.6°, I = 37
- 2θ = 34.1°, I = 75
- 2θ = 42.7°, I = 62
- 2θ = 43.0°, I = 81
- 2θ = 43.8°, I = 100
- 2θ = 44.3°, I = 44
- 2θ = 53.4°, I = 39
- 2θ = 53.7°, I = 77



Starting from a cell relaxed with GGA-PBE, the powder X-ray diffraction pattern of TiCrCuS4 was calculated for Cu Ka.
Kinematic intensities with the Lorentz-polarization factor, no thermal factor.

Atomic structure:
```
TiCrCuS4
1.0
5.767 0.000 0.000
0.000 3.387 0.000
-0.083 0.000 11.498
Ti Cr Cu S
2 2 2 8
direct
0.244 0.250 0.005
0.756 0.750 0.995
0.303 0.250 0.496
0.697 0.750 0.504
0.239 0.250 0.740
0.761 0.750 0.260
0.085 0.750 0.131
0.088 0.750 0.601
0.405 0.750 0.371
0.413 0.750 0.874
0.587 0.250 0.126
0.595 0.250 0.629
0.912 0.250 0.399
0.915 0.250 0.869
```

Top 10 peaks for 2θ from 15° to 90°, low angle first:
- 2θ = 17.2°, I = 68
- 2θ = 27.4°, I = 27
- 2θ = 30.6°, I = 38
- 2θ = 34.4°, I = 54
- 2θ = 34.9°, I = 27
- 2θ = 44.1°, I = 79
- 2θ = 44.3°, I = 100
- 2θ = 44.7°, I = 32
- 2θ = 54.2°, I = 32
- 2θ = 54.9°, I = 50



Starting from a cell relaxed with GGA-PBE, the powder X-ray diffraction pattern of TiCrCuS4 was calculated for Cu Ka.
Kinematic intensities with the Lorentz-polarization factor, no thermal factor.

Atomic structure:
```
TiCrCuS4
1.0
5.906 0.000 0.000
0.027 7.003 0.000
0.683 3.492 12.140
Ti Cr Cu S
4 4 4 16
direct
0.000 0.000 0.000
0.021 0.544 0.490
0.068 0.033 0.507
0.487 0.299 0.992
0.004 0.530 0.996
0.506 0.789 0.995
0.541 0.789 0.500
0.546 0.285 0.500
0.177 0.505 0.272
0.458 0.028 0.749
0.638 0.023 0.256
0.940 0.503 0.745
0.167 0.336 0.881
0.190 0.837 0.880
0.192 0.720 0.615
0.206 0.221 0.619
0.319 0.486 0.109
0.334 0.974 0.110
0.396 0.590 0.392
0.398 0.099 0.384
0.675 0.090 0.881
0.686 0.484 0.614
0.688 0.588 0.881
0.694 0.979 0.608
0.821 0.713 0.112
0.823 0.223 0.103
0.888 0.848 0.382
0.892 0.330 0.385
```

Top 10 peaks for 2θ from 15° to 90°, low angle first:
- 2θ = 19.9°, I = 41
- 2θ = 20.2°, I = 42
- 2θ = 26.5°, I = 41
- 2θ = 32.8°, I = 54
- 2θ = 36.7°, I = 100
- 2θ = 38.8°, I = 35
- 2θ = 44.0°, I = 35
- 2θ = 47.4°, I = 38
- 2θ = 53.5°, I = 34
- 2θ = 54.5°, I = 45



Starting from a cell relaxed with GGA-PBE, the powder X-ray diffraction pattern of TiCrCuS4 was calculated for Cu Ka.
Kinematic intensities with the Lorentz-polarization factor, no thermal factor.

Atomic structure:
```
TiCrCuS4
1.0
11.881 0.000 0.000
0.000 7.036 0.000
0.000 0.000 5.731
Ti Cr Cu S
4 4 4 16
direct
0.250 0.250 0.026
0.250 0.750 0.526
0.750 0.250 0.474
0.750 0.750 0.974
0.000 0.000 0.000
0.000 0.500 0.000
0.500 0.000 0.500
0.500 0.500 0.500
0.096 0.250 0.396
0.404 0.750 0.896
0.596 0.250 0.104
0.904 0.750 0.604
0.083 0.750 0.765
0.084 0.250 0.784
0.170 0.513 0.235
0.170 0.987 0.235
0.330 0.013 0.735
0.330 0.487 0.735
0.416 0.750 0.284
0.417 0.250 0.265
0.583 0.750 0.735
0.584 0.250 0.716
0.670 0.513 0.265
0.670 0.987 0.265
0.830 0.013 0.765
0.830 0.487 0.765
0.916 0.750 0.216
0.917 0.250 0.235
```

Top 10 peaks for 2θ from 15° to 90°, low angle first:
- 2θ = 19.6°, I = 55
- 2θ = 20.0°, I = 30
- 2θ = 30.2°, I = 100
- 2θ = 30.8°, I = 90
- 2θ = 33.5°, I = 43
- 2θ = 43.5°, I = 90
- 2θ = 43.9°, I = 37
- 2θ = 52.0°, I = 46
- 2θ = 53.1°, I = 83
- 2θ = 57.0°, I = 43



Starting from a cell relaxed with GGA-PBE, the powder X-ray diffraction pattern of TiCrCuS4 was calculated for Cu Ka.
Kinematic intensities with the Lorentz-polarization factor, no thermal factor.

Atomic structure:
```
TiCrCuS4
1.0
6.352 0.000 0.000
-0.015 7.305 0.000
-1.009 -1.790 12.011
Ti Cr Cu S
4 4 4 16
direct
0.000 0.000 0.000
0.081 0.186 0.700
0.490 0.737 0.996
0.716 0.594 0.404
0.224 0.341 0.405
0.225 0.855 0.408
0.482 0.248 0.993
0.615 0.414 0.700
0.111 0.669 0.703
0.602 0.922 0.696
0.730 0.096 0.404
0.986 0.494 0.996
0.051 0.077 0.336
0.052 0.583 0.338
0.168 0.758 0.071
0.169 0.268 0.073
0.249 0.897 0.592
0.270 0.390 0.593
0.458 0.200 0.804
0.464 0.688 0.806
0.542 0.324 0.334
0.542 0.834 0.336
0.666 0.015 0.068
0.668 0.512 0.070
0.752 0.642 0.594
0.756 0.149 0.595
0.952 0.448 0.806
0.968 0.948 0.811
```

Top 10 peaks for 2θ from 15° to 90°, low angle first:
- 2θ = 22.2°, I = 100
- 2θ = 28.2°, I = 36
- 2θ = 28.6°, I = 58
- 2θ = 29.8°, I = 24
- 2θ = 29.9°, I = 46
- 2θ = 34.6°, I = 79
- 2θ = 49.8°, I = 68
- 2θ = 49.9°, I = 31
- 2θ = 51.8°, I = 25
- 2θ = 51.9°, I = 50



Starting from a cell relaxed with GGA-PBE, the powder X-ray diffraction pattern of TiCrCuS4 was calculated for Cu Ka.
Kinematic intensities with the Lorentz-polarization factor, no thermal factor.

Atomic structure:
```
TiCrCuS4
1.0
11.402 0.000 0.000
0.000 3.434 0.000
0.000 0.000 12.054
Ti Cr Cu S
4 4 4 16
direct
0.147 0.250 0.206
0.353 0.750 0.706
0.647 0.250 0.294
0.853 0.750 0.794
0.113 0.250 0.572
0.387 0.750 0.072
0.613 0.250 0.928
0.887 0.750 0.428
0.123 0.750 0.923
0.377 0.250 0.423
0.623 0.750 0.577
0.877 0.250 0.077
0.029 0.250 0.383
0.034 0.750 0.112
0.209 0.250 0.753
0.247 0.750 0.525
0.253 0.250 0.025
0.291 0.750 0.253
0.466 0.250 0.612
0.471 0.750 0.883
0.529 0.250 0.117
0.534 0.750 0.388
0.709 0.250 0.747
0.747 0.750 0.975
0.753 0.250 0.475
0.791 0.750 0.247
0.966 0.250 0.888
0.971 0.750 0.617
```

Top 10 peaks for 2θ from 15° to 90°, low angle first:
- 2θ = 27.2°, I = 71
- 2θ = 33.6°, I = 46
- 2θ = 33.9°, I = 24
- 2θ = 36.0°, I = 100
- 2θ = 38.4°, I = 78
- 2θ = 40.6°, I = 27
- 2θ = 46.7°, I = 45
- 2θ = 50.4°, I = 31
- 2θ = 53.3°, I = 84
- 2θ = 78.8°, I = 21



Starting from a cell relaxed with GGA-PBE, the powder X-ray diffraction pattern of TiCrCuS4 was calculated for Cu Ka.
Kinematic intensities with the Lorentz-polarization factor, no thermal factor.

Atomic structure:
```
TiCrCuS4
1.0
3.431 0.000 0.000
0.000 12.389 0.000
0.000 0.000 11.094
Ti Cr Cu S
4 4 4 16
direct
0.000 0.132 0.000
0.000 0.331 0.546
0.000 0.669 0.046
0.000 0.868 0.500
0.500 0.168 0.364
0.500 0.369 0.903
0.500 0.631 0.403
0.500 0.832 0.864
0.000 0.074 0.715
0.000 0.926 0.215
0.500 0.413 0.178
0.500 0.587 0.678
0.000 0.040 0.388
0.000 0.302 0.334
0.000 0.319 0.050
0.000 0.415 0.765
0.000 0.585 0.265
0.000 0.681 0.550
0.000 0.698 0.834
0.000 0.960 0.888
0.500 0.091 0.149
0.500 0.184 0.853
0.500 0.191 0.577
0.500 0.463 0.517
0.500 0.537 0.017
0.500 0.809 0.077
0.500 0.816 0.353
0.500 0.909 0.649
```

Top 10 peaks for 2θ from 15° to 90°, low angle first:
- 2θ = 28.1°, I = 96
- 2θ = 28.8°, I = 46
- 2θ = 30.9°, I = 56
- 2θ = 34.0°, I = 100
- 2θ = 34.9°, I = 96
- 2θ = 36.5°, I = 64
- 2θ = 41.9°, I = 53
- 2θ = 42.1°, I = 65
- 2θ = 42.5°, I = 71
- 2θ = 53.4°, I = 62



Starting from a cell relaxed with GGA-PBE, the powder X-ray diffraction pattern of TiCrCuS4 was calculated for Cu Ka.
Kinematic intensities with the Lorentz-polarization factor, no thermal factor.

Atomic structure:
```
TiCrCuS4
1.0
-3.575 4.974 3.471
3.575 -4.974 3.471
3.575 4.974 -3.471
Ti Cr Cu S
2 2 2 8
direct
0.241 0.250 0.491
0.759 0.750 0.509
0.242 0.242 0.000
0.242 0.742 0.500
0.606 0.985 0.121
0.864 0.485 0.879
0.003 0.238 0.746
0.003 0.758 0.266
0.004 0.755 0.749
0.006 0.255 0.251
0.466 0.224 0.742
0.482 0.724 0.258
0.492 0.258 0.254
0.492 0.738 0.734
```

Top 10 peaks for 2θ from 15° to 90°, low angle first:
- 2θ = 25.3°, I = 46
- 2θ = 29.5°, I = 60
- 2θ = 29.7°, I = 25
- 2θ = 29.9°, I = 34
- 2θ = 30.0°, I = 54
- 2θ = 36.1°, I = 70
- 2θ = 47.7°, I = 23
- 2θ = 51.1°, I = 27
- 2θ = 52.0°, I = 100
- 2θ = 52.7°, I = 23



Starting from a cell relaxed with GGA-PBE, the powder X-ray diffraction pattern of TiCrCuS4 was calculated for Cu Ka.
Kinematic intensities with the Lorentz-polarization factor, no thermal factor.

Atomic structure:
```
TiCrCuS4
1.0
5.855 0.000 0.000
0.000 3.456 0.000
-0.270 0.000 5.896
Ti Cr Cu S
1 1 1 4
direct
0.000 0.000 0.000
0.500 0.500 0.000
0.500 0.500 0.500
0.178 0.500 0.237
0.329 0.000 0.762
0.671 0.000 0.238
0.822 0.500 0.763
```

Top 10 peaks for 2θ from 15° to 90°, low angle first:
- 2θ = 15.1°, I = 76
- 2θ = 30.0°, I = 78
- 2θ = 33.4°, I = 39
- 2θ = 34.1°, I = 72
- 2θ = 42.5°, I = 61
- 2θ = 42.7°, I = 79
- 2θ = 43.7°, I = 100
- 2θ = 44.6°, I = 40
- 2θ = 53.0°, I = 40
- 2θ = 54.0°, I = 74



Starting from a cell relaxed with GGA-PBE, the powder X-ray diffraction pattern of TiCrCuS4 was calculated for Cu Ka.
Kinematic intensities with the Lorentz-polarization factor, no thermal factor.

Atomic structure:
```
TiCrCuS4
1.0
11.356 0.000 0.000
0.000 3.443 0.000
-0.253 0.000 12.119
Ti Cr Cu S
4 4 4 16
direct
0.000 0.000 0.000
0.037 0.000 0.630
0.305 0.500 0.399
0.501 0.000 0.910
0.261 0.500 0.773
0.540 0.000 0.277
0.766 0.500 0.139
0.797 0.500 0.506
0.032 0.500 0.275
0.265 0.000 0.137
0.537 0.500 0.633
0.759 0.000 0.776
0.121 0.500 0.089
0.122 0.000 0.827
0.176 0.000 0.323
0.182 0.500 0.581
0.358 0.500 0.952
0.395 0.000 0.726
0.401 0.500 0.222
0.443 0.000 0.454
0.616 0.500 0.821
0.623 0.000 0.090
0.681 0.000 0.592
0.681 0.500 0.324
0.858 0.500 0.955
0.899 0.500 0.684
0.903 0.000 0.183
0.933 0.000 0.456
```

Top 10 peaks for 2θ from 15° to 90°, low angle first:
- 2θ = 26.8°, I = 65
- 2θ = 27.4°, I = 57
- 2θ = 33.2°, I = 46
- 2θ = 33.8°, I = 43
- 2θ = 35.9°, I = 96
- 2θ = 36.1°, I = 100
- 2θ = 38.1°, I = 70
- 2θ = 38.5°, I = 63
- 2θ = 53.0°, I = 67
- 2θ = 53.2°, I = 60



Question: What is the formula in the second record?
Answer: TiCrCuS4



Repeat the second record exactly.
Starting from a cell relaxed with GGA-PBE, the powder X-ray diffraction pattern of TiCrCuS4 was calculated for Cu Ka.
Kinematic intensities with the Lorentz-polarization factor, no thermal factor.

Atomic structure:
```
TiCrCuS4
1.0
5.767 0.000 0.000
0.000 3.387 0.000
-0.083 0.000 11.498
Ti Cr Cu S
2 2 2 8
direct
0.244 0.250 0.005
0.756 0.750 0.995
0.303 0.250 0.496
0.697 0.750 0.504
0.239 0.250 0.740
0.761 0.750 0.260
0.085 0.750 0.131
0.088 0.750 0.601
0.405 0.750 0.371
0.413 0.750 0.874
0.587 0.250 0.126
0.595 0.250 0.629
0.912 0.250 0.399
0.915 0.250 0.869
```

Top 10 peaks for 2θ from 15° to 90°, low angle first:
- 2θ = 17.2°, I = 68
- 2θ = 27.4°, I = 27
- 2θ = 30.6°, I = 38
- 2θ = 34.4°, I = 54
- 2θ = 34.9°, I = 27
- 2θ = 44.1°, I = 79
- 2θ = 44.3°, I = 100
- 2θ = 44.7°, I = 32
- 2θ = 54.2°, I = 32
- 2θ = 54.9°, I = 50